Entry 1:
The following is a computed X-ray powder pattern of Dy2Si3Pt5. It was derived from a crystal structure in Alexandria, relaxed with GGA-PBE, using λ = 1.5418 Å (Cu Kα).

Largest 10 diffraction maxima, low angle first, 10 to 90 degrees two-theta:
2θ 27.33, intensity 41; 2θ 30.34, intensity 27; 2θ 35.89, intensity 90; 2θ 36.22, intensity 100; 2θ 38.97, intensity 27; 2θ 39.67, intensity 29; 2θ 42.89, intensity 17; 2θ 43.00, intensity 49; 2θ 59.93, intensity 17; 2θ 74.39, intensity 19

Structure:
```
Dy2Si3Pt5
1.0
2.103 -12.064 0.000
2.103 12.064 0.000
0.000 0.000 6.751
Dy Si Pt
4 6 10
Cartesian
2.103 11.391 3.376
2.103 4.175 3.661
2.103 -4.175 0.285
2.103 -11.391 0.000
2.103 9.069 5.060
2.103 5.524 0.660
2.103 1.138 4.720
2.103 -1.138 1.344
2.103 -5.524 4.036
2.103 -9.069 1.684
2.103 9.863 0.707
2.103 7.371 2.468
2.103 6.620 5.309
2.103 3.087 0.207
2.103 1.171 2.244
2.103 -1.171 5.619
2.103 -3.087 3.583
2.103 -6.620 1.933
2.103 -7.371 5.843
2.103 -9.863 4.082
```

***

Entry 2:
The following is a computed X-ray powder pattern of Sr2DySi3Pt4. It was derived from a crystal structure in Alexandria, relaxed with GGA-PBE, using λ = 1.5418 Å (Cu Kα).

Largest 10 diffraction maxima, low angle first, 10 to 90 degrees two-theta:
2θ 21.99, intensity 17; 2θ 24.96, intensity 14; 2θ 26.35, intensity 26; 2θ 30.13, intensity 17; 2θ 33.51, intensity 100; 2θ 41.36, intensity 46; 2θ 44.83, intensity 29; 2θ 47.31, intensity 18; 2θ 59.92, intensity 19; 2θ 70.43, intensity 26

Structure:
```
Sr2DySi3Pt4
1.0
4.366 0.000 0.000
0.000 4.366 0.000
0.000 0.000 10.700
Sr Dy Si Pt
2 1 3 4
Cartesian
0.000 2.183 2.495
2.183 0.000 8.205
0.000 0.000 5.350
0.000 2.183 9.483
2.183 0.000 1.218
2.183 2.183 5.350
0.000 0.000 0.000
0.000 2.183 7.065
2.183 0.000 3.635
2.183 2.183 0.000
```

***

Entry 3:
The following is a computed X-ray powder pattern of DyThSi2Pt4. It was derived from a crystal structure in Alexandria, relaxed with GGA-PBE, using λ = 1.5418 Å (Cu Kα).

Largest 10 diffraction maxima, low angle first, 10 to 90 degrees two-theta:
2θ 18.87, intensity 14; 2θ 21.75, intensity 15; 2θ 28.95, intensity 21; 2θ 36.50, intensity 100; 2θ 38.28, intensity 18; 2θ 44.34, intensity 33; 2θ 59.99, intensity 20; 2θ 64.54, intensity 17; 2θ 68.05, intensity 14; 2θ 76.45, intensity 24

Structure:
```
DyThSi2Pt4
1.0
4.086 0.000 0.000
0.000 4.086 0.000
0.000 0.000 9.405
Dy Th Si Pt
1 1 2 4
Cartesian
0.000 0.000 0.000
0.000 0.000 4.703
2.043 2.043 1.163
2.043 2.043 8.242
0.000 2.043 2.488
0.000 2.043 6.917
2.043 0.000 2.488
2.043 0.000 6.917
```

***

Entry 4:
The following is a computed X-ray powder pattern of DyTl2Si2Pt7. It was derived from a crystal structure in Alexandria, relaxed with GGA-PBE, using λ = 1.5418 Å (Cu Kα).

Largest 10 diffraction maxima, low angle first, 10 to 90 degrees two-theta:
2θ 12.61, intensity 25; 2θ 25.37, intensity 34; 2θ 31.88, intensity 96; 2θ 33.82, intensity 47; 2θ 35.02, intensity 78; 2θ 35.48, intensity 82; 2θ 36.81, intensity 85; 2θ 44.95, intensity 100; 2θ 45.22, intensity 53; 2θ 50.34, intensity 45

Structure:
```
DyTl2Si2Pt7
1.0
2.857 -2.862 0.000
2.857 2.862 0.000
-1.651 0.000 14.041
Dy Tl Si Pt
1 2 2 7
Cartesian
0.000 0.000 0.000
-0.071 0.000 5.539
4.133 0.000 8.502
1.209 0.000 10.562
2.853 0.000 3.480
1.423 1.431 2.181
1.276 0.000 8.247
2.640 1.431 11.860
2.857 0.000 0.000
1.423 -1.431 2.181
2.786 0.000 5.794
2.640 -1.431 11.860
```

***

Entry 5:
The following is a computed X-ray powder pattern of DyTmSi2Pt5. It was derived from a crystal structure in Alexandria, relaxed with GGA-PBE, using λ = 1.5418 Å (Cu Kα).

Largest 10 diffraction maxima, low angle first, 10 to 90 degrees two-theta:
2θ 23.52, intensity 5; 2θ 36.48, intensity 100; 2θ 40.39, intensity 16; 2θ 43.15, intensity 7; 2θ 43.34, intensity 35; 2θ 60.73, intensity 20; 2θ 62.97, intensity 12; 2θ 70.89, intensity 13; 2θ 75.02, intensity 25; 2θ 77.51, intensity 10

Structure:
```
DyTmSi2Pt5
1.0
4.175 0.000 0.000
0.000 4.175 0.000
0.000 0.000 8.933
Dy Tm Si Pt
1 1 2 5
Cartesian
0.000 0.000 0.000
0.000 0.000 4.467
2.088 2.088 3.304
2.088 2.088 5.630
0.000 2.088 2.110
0.000 2.088 6.823
2.088 0.000 2.110
2.088 0.000 6.823
2.088 2.088 0.000
```

***

Entry 6:
The following is a computed X-ray powder pattern of SmDy2Pt. It was derived from a crystal structure in Alexandria, relaxed with GGA-PBE, using λ = 1.5418 Å (Cu Kα).

Largest 10 diffraction maxima, low angle first, 10 to 90 degrees two-theta:
2θ 18.42, intensity 34; 2θ 30.07, intensity 53; 2θ 31.02, intensity 54; 2θ 31.27, intensity 58; 2θ 31.50, intensity 100; 2θ 33.10, intensity 33; 2θ 33.54, intensity 63; 2θ 34.21, intensity 66; 2θ 35.49, intensity 47; 2θ 37.75, intensity 51

Structure:
```
SmDy2Pt
1.0
7.112 0.000 0.000
0.000 9.633 0.000
0.000 0.000 6.543
Sm Dy Pt
4 8 4
Cartesian
0.170 2.408 0.871
3.386 7.225 4.142
3.726 2.408 2.401
6.942 7.225 5.672
1.267 0.594 4.415
1.267 4.222 4.415
2.289 5.411 1.144
2.289 9.039 1.144
4.823 0.594 5.399
4.823 4.222 5.399
5.844 5.411 2.128
5.844 9.039 2.128
0.812 7.225 2.860
2.744 2.408 6.131
4.368 7.225 0.412
6.300 2.408 3.683
```

***

Entry 7:
The following is a computed X-ray powder pattern of Dy3Sn2Pt. It was derived from a crystal structure in Alexandria, relaxed with GGA-PBE, using λ = 1.5418 Å (Cu Kα).

Largest 10 diffraction maxima, low angle first, 10 to 90 degrees two-theta:
2θ 10.55, intensity 36; 2θ 16.46, intensity 29; 2θ 29.11, intensity 54; 2θ 30.53, intensity 100; 2θ 33.26, intensity 35; 2θ 33.53, intensity 94; 2θ 36.48, intensity 85; 2θ 39.91, intensity 61; 2θ 40.09, intensity 82; 2θ 45.12, intensity 39

Structure:
```
Dy3Sn2Pt
1.0
12.174 0.000 0.000
0.000 4.499 0.000
0.000 0.000 11.569
Dy Sn Pt
12 8 4
Cartesian
0.648 1.125 1.489
1.480 3.374 6.402
2.866 1.125 9.250
3.221 3.374 3.466
4.607 1.125 0.618
5.439 3.374 7.274
6.735 1.125 4.295
7.567 3.374 10.951
8.953 1.125 8.102
9.308 3.374 2.318
10.694 1.125 5.167
11.527 3.374 10.079
0.013 1.125 8.027
2.269 3.374 0.070
3.818 1.125 5.854
6.074 3.374 2.243
6.100 1.125 9.325
8.356 3.374 5.715
9.905 1.125 11.499
12.161 3.374 3.541
1.495 1.125 4.305
4.592 3.374 10.089
7.582 1.125 1.480
10.679 3.374 7.264
```

***

Entry 8:
The following is a computed X-ray powder pattern of Dy3Sn4Pt3. It was derived from a crystal structure in Alexandria, relaxed with GGA-PBE, using λ = 1.5418 Å (Cu Kα).

Largest 10 diffraction maxima, low angle first, 10 to 90 degrees two-theta:
2θ 22.18, intensity 27; 2θ 34.17, intensity 100; 2θ 41.12, intensity 51; 2θ 43.22, intensity 12; 2θ 45.25, intensity 15; 2θ 47.21, intensity 13; 2θ 50.95, intensity 13; 2θ 59.55, intensity 13; 2θ 65.92, intensity 12; 2θ 70.48, intensity 15

Structure:
```
Dy3Sn4Pt3
1.0
-4.909 4.909 4.909
4.909 -4.909 4.909
4.909 4.909 -4.909
Dy Sn Pt
6 8 6
Cartesian
4.909 -2.454 3.682
3.682 4.909 -2.454
4.909 2.454 1.227
2.454 1.227 4.909
1.227 4.909 2.454
-2.454 3.682 4.909
3.255 1.654 -1.654
5.710 -0.801 0.801
1.654 -1.654 3.255
1.654 1.654 1.654
-1.654 3.255 1.654
0.801 5.710 -0.801
-0.801 0.801 5.710
4.108 4.108 4.108
7.363 1.227 0.000
3.682 0.000 2.454
2.454 3.682 0.000
0.000 2.454 3.682
1.227 0.000 7.363
0.000 7.363 1.227
```

***

Entry 9:
The following is a computed X-ray powder pattern of TbDy4Pt2. It was derived from a crystal structure in Alexandria, relaxed with GGA-PBE, using λ = 1.5418 Å (Cu Kα).

Largest 10 diffraction maxima, low angle first, 10 to 90 degrees two-theta:
2θ 27.91, intensity 42; 2θ 30.51, intensity 39; 2θ 31.08, intensity 100; 2θ 33.32, intensity 36; 2θ 34.72, intensity 92; 2θ 35.12, intensity 41; 2θ 36.48, intensity 57; 2θ 37.07, intensity 68; 2θ 38.72, intensity 37; 2θ 40.33, intensity 38

Structure:
```
TbDy4Pt2
1.0
7.768 0.000 0.000
0.000 6.394 0.000
-3.129 0.000 7.445
Tb Dy Pt
2 8 4
Cartesian
1.102 1.598 0.196
3.537 4.795 7.249
-1.082 1.598 2.879
0.848 4.795 2.577
0.776 0.036 5.720
0.776 3.161 5.720
3.863 3.233 1.725
3.863 6.358 1.725
3.791 1.598 4.868
5.721 4.795 4.566
-1.192 4.795 7.384
1.639 1.598 3.069
3.000 4.795 4.376
5.831 1.598 0.061
```

***

Entry 10:
The following is a computed X-ray powder pattern of Tb2DyPt3. It was derived from a crystal structure in Alexandria, relaxed with GGA-PBE, using λ = 1.5418 Å (Cu Kα).

Largest 10 diffraction maxima, low angle first, 10 to 90 degrees two-theta:
2θ 31.01, intensity 100; 2θ 44.42, intensity 63; 2θ 44.49, intensity 12; 2θ 55.10, intensity 13; 2θ 55.23, intensity 13; 2θ 64.64, intensity 12; 2θ 73.29, intensity 6; 2θ 73.45, intensity 29; 2θ 81.73, intensity 13; 2θ 81.90, intensity 13

Structure:
```
Tb2DyPt3
1.0
4.086 0.000 0.000
0.000 5.764 0.000
0.000 0.000 12.219
Tb Dy Pt
4 2 6
Cartesian
0.000 0.000 2.039
0.000 0.000 10.180
2.043 2.882 4.070
2.043 2.882 8.149
0.000 0.000 6.110
2.043 2.882 0.000
0.000 2.882 2.025
0.000 2.882 6.110
0.000 2.882 10.194
2.043 0.000 0.000
2.043 0.000 4.084
2.043 0.000 8.135
```

***

Entry 11:
The following is a computed X-ray powder pattern of TbDyPt. It was derived from a crystal structure in Alexandria, relaxed with GGA-PBE, using λ = 1.5418 Å (Cu Kα).

Largest 10 diffraction maxima, low angle first, 10 to 90 degrees two-theta:
2θ 22.34, intensity 34; 2θ 25.86, intensity 8; 2θ 36.89, intensity 100; 2θ 43.56, intensity 18; 2θ 53.16, intensity 18; 2θ 66.38, intensity 9; 2θ 66.49, intensity 27; 2θ 71.10, intensity 4; 2θ 78.45, intensity 6; 2θ 78.58, intensity 6

Structure:
```
TbDyPt
1.0
2.435 1.406 7.968
-2.435 1.406 7.968
0.000 -2.812 7.968
Tb Dy Pt
2 2 2
Cartesian
0.000 0.000 2.981
0.000 0.000 20.924
0.000 0.000 8.958
0.000 0.000 14.947
0.000 0.000 5.985
0.000 0.000 17.920
```

***

Entry 12:
The following is a computed X-ray powder pattern of TbDyZnPt. It was derived from a crystal structure in Alexandria, relaxed with GGA-PBE, using λ = 1.5418 Å (Cu Kα).

Largest 10 diffraction maxima, low angle first, 10 to 90 degrees two-theta:
2θ 12.71, intensity 16; 2θ 35.66, intensity 52; 2θ 36.07, intensity 100; 2θ 51.33, intensity 18; 2θ 52.54, intensity 8; 2θ 64.33, intensity 37; 2θ 65.12, intensity 18; 2θ 76.52, intensity 11; 2θ 86.43, intensity 8; 2θ 86.67, intensity 8

Structure:
```
TbDyZnPt
1.0
3.560 0.000 0.000
0.000 3.560 0.000
0.000 0.000 6.967
Tb Dy Zn Pt
1 1 1 1
Cartesian
0.000 0.000 0.000
0.000 0.000 3.381
1.780 1.780 5.159
1.780 1.780 1.712
```